Computed powder XRD pattern
Compound: CdNiAg2
Radiation: copper Kα
Structure: a structure optimized by DFT (GGA-PBE)
Neutral-atom scattering factors, no anomalous dispersion.

Crystal structure
```
data_CdNiAg2
_chemical_formula_sum 'Cd1 Ni1 Ag2'
_symmetry_space_group_name_H-M 'P 1 2/m 1'
_symmetry_Int_Tables_number 10
_cell_length_a 2.878
_cell_length_b 4.647
_cell_length_c 5.102
_cell_angle_alpha 90.00
_cell_angle_beta 97.09
_cell_angle_gamma 90.00
loop_
_symmetry_equiv_pos_as_xyz
'x,y,z'
'-x,-y,-z'
'-x,y,-z'
'x,-y,z'
loop_
_atom_site_label
_atom_site_fract_x
_atom_site_fract_y
_atom_site_fract_z
Cd1 0.000 0.000 0.000
Ni1 0.500 0.000 0.500
Ag1 0.287 0.500 0.737
```

Top 10 peaks for 10 to 80 degrees two-theta, low angle first:
h k l, 2theta, intensity
1 0 1, 38.03, 58
0 2 0, 38.76, 55
1 1 -1, 39.36, 100
0 1 2, 40.58, 95
1 2 1, 55.42, 37
2 1 0, 68.76, 18
1 3 -1, 70.56, 16
1 1 3, 71.27, 17
0 3 2, 71.39, 16
1 2 -3, 73.88, 13